1.
Starting from a DFT-relaxed cell (PBE, the Materials Project), the PXRD pattern of SbI2F6 was computed for CuKα.

Largest 10 diffraction maxima, by angle, 10 to 90 degrees two-theta:
index, two_theta, Rel. int.
1 -1 0, 19.13, 63
1 0 -1, 19.33, 81
-1 1 1, 21.97, 100
1 -1 1, 22.17, 61
1 1 -1, 22.62, 46
1 1 2, 24.72, 34
0 1 -2, 26.54, 74
1 2 2, 29.26, 31
2 1 1, 30.09, 36
2 1 -2, 41.27, 30

Cell and atoms:
abc: 6.2050 8.2640 8.3473
angles: 77.94 81.16 82.55
Space group P-1 (No. 2)
Asymmetric unit:
Sb (0.0628, 0.1994, 0.1860) (multiplicity 2)
I (0.3938, 0.5845, 0.2675) (multiplicity 2)
I (0.3994, 0.2590, 0.5688) (multiplicity 2)
F (0.0693, 0.7016, 0.0084) (multiplicity 2)
F (0.0885, 0.6332, 0.6969) (multiplicity 2)
F (0.1693, 0.9389, 0.7298) (multiplicity 2)
F (0.2087, 0.1091, 0.3816) (multiplicity 2)
F (0.2321, 0.0323, 0.0810) (multiplicity 2)
F (0.2982, 0.3428, 0.1124) (multiplicity 2)

2.
Starting from a DFT-relaxed cell (PBE, the Materials Project), the PXRD pattern of SbIF10 was computed for CuKα.

Largest 10 diffraction maxima, by angle, 10 to 90 degrees two-theta:
index, two_theta, Rel. int.
0 0 4, 16.61, 53
0 2 0, 21.03, 57
2 0 0, 21.19, 56
1 1 4, 22.37, 100
0 2 4, 26.91, 18
2 0 4, 27.04, 18
2 2 0, 30.02, 32
1 1 8, 36.92, 36
2 4 0, 48.22, 29
4 2 0, 48.42, 29

Cell and atoms:
abc: 8.3862 8.4506 21.3465
angles: 90.00 90.00 90.00
Space group Ibca (No. 73)
Asymmetric unit:
Sb (0.0000, 0.2500, 0.0860) (multiplicity 8)
I (0.0000, 0.2500, 0.3505) (multiplicity 8)
F (0.0000, 0.2500, 0.1749) (multiplicity 8)
F (0.0000, 0.2500, 0.4970) (multiplicity 8)
F (0.0436, 0.0251, 0.0850) (multiplicity 16)
F (0.1214, 0.1320, 0.2953) (multiplicity 16)
F (0.1530, 0.0950, 0.8275) (multiplicity 16)
F (0.2271, 0.2071, 0.5854) (multiplicity 16)

3.
Starting from a DFT-relaxed cell (PBE, the Materials Project), the PXRD pattern of SbSeI3F6 was computed for CuKα.

Largest 10 diffraction maxima, by angle, 10 to 90 degrees two-theta:
index, two_theta, Rel. int.
1 1 2, 20.00, 100
2 0 0, 20.27, 48
1 2 -2, 23.19, 74
2 1 -2, 24.38, 43
1 2 2, 24.82, 30
0 3 1, 26.28, 22
1 3 0, 27.34, 27
1 0 -4, 27.99, 22
3 0 -2, 31.79, 17
2 1 4, 37.74, 18

Cell and atoms:
abc: 8.8515 10.5424 13.0930
angles: 90.00 98.02 90.00
Space group P2_1/c (No. 14)
Asymmetric unit:
Sb (0.2000, 0.2211, 0.0672) (multiplicity 4)
Se (0.1998, 0.6915, 0.7076) (multiplicity 4)
I (0.2103, 0.5847, 0.2796) (multiplicity 4)
I (0.2581, 0.5485, 0.8649) (multiplicity 4)
I (0.4392, 0.6812, 0.6201) (multiplicity 4)
F (0.0037, 0.2349, 0.4941) (multiplicity 4)
F (0.1274, 0.0547, 0.0954) (multiplicity 4)
F (0.1414, 0.2150, 0.6932) (multiplicity 4)
F (0.2599, 0.1594, 0.9390) (multiplicity 4)
F (0.2762, 0.1129, 0.5362) (multiplicity 4)
F (0.3993, 0.1787, 0.1351) (multiplicity 4)

4.
Starting from a DFT-relaxed cell (PBE, the Materials Project), the PXRD pattern of Sn2IF2 was computed for CuKα.

Largest 10 diffraction maxima, by angle, 10 to 90 degrees two-theta:
index, two_theta, Rel. int.
1 1 1, 23.69, 27
0 2 2, 24.10, 18
1 1 2, 28.83, 57
1 3 0, 30.64, 30
0 2 3, 32.12, 100
0 4 2, 35.91, 16
2 0 0, 41.40, 22
1 1 4, 44.17, 16
1 5 3, 52.82, 28
2 2 3, 53.36, 28

Cell and atoms:
abc: 4.3615 11.7784 9.4801
angles: 90.00 90.00 90.00
Space group Cmcm (No. 63)
Asymmetric unit:
Sn (0.0000, 0.1280, 0.0804) (multiplicity 8)
I (0.0000, 0.4476, 0.2500) (multiplicity 4)
F (0.0000, 0.2850, 0.5673) (multiplicity 8)

5.
Starting from a DFT-relaxed cell (PBE, the Materials Project), the PXRD pattern of Sn3IF5 was computed for CuKα.

Largest 10 diffraction maxima, by angle, 10 to 90 degrees two-theta:
index, two_theta, Rel. int.
1 2 -1, 24.55, 16
0 0 4, 26.86, 42
0 4 0, 27.04, 40
1 2 -3, 28.04, 100
0 4 4, 38.48, 19
2 0 -2, 41.60, 9
1 2 5, 48.08, 8
1 2 -7, 48.26, 14
1 6 -3, 48.40, 19
2 0 -6, 50.33, 11

Cell and atoms:
abc: 4.3417 13.1894 13.9507
angles: 90.00 107.85 90.00
Space group P2_1/c (No. 14)
Asymmetric unit:
Sn (0.1650, 0.1102, 0.1059) (multiplicity 4)
Sn (0.2046, 0.6564, 0.1310) (multiplicity 4)
Sn (0.2224, 0.6203, 0.8498) (multiplicity 4)
I (0.3904, 0.1189, 0.8796) (multiplicity 4)
F (0.1186, 0.0086, 0.6220) (multiplicity 4)
F (0.1198, 0.2204, 0.6049) (multiplicity 4)
F (0.3101, 0.1055, 0.2754) (multiplicity 4)
F (0.3239, 0.6617, 0.3400) (multiplicity 4)
F (0.4394, 0.6200, 0.0142) (multiplicity 4)

6.
Starting from a DFT-relaxed cell (PBE, the Materials Project), the PXRD pattern of SrIF was computed for CuKα.

Largest 10 diffraction maxima, by angle, 10 to 90 degrees two-theta:
index, two_theta, Rel. int.
0 0 2, 18.93, 13
1 0 1, 22.83, 10
1 0 2, 28.22, 100
1 1 0, 29.50, 50
1 1 2, 35.28, 25
2 0 0, 42.21, 27
1 0 4, 44.03, 24
2 1 2, 51.55, 37
2 1 4, 62.63, 17
3 2 2, 84.07, 9

Cell and atoms:
abc: 4.2823 4.2823 9.3784
angles: 90.00 90.00 90.00
Space group P4/nmm (No. 129, origin choice 2)
Asymmetric unit:
Sr (0.2500, 0.2500, 0.1452) (multiplicity 2)
I (0.2500, 0.2500, 0.6798) (multiplicity 2)
F (0.2500, 0.7500, 0.0000) (multiplicity 2)

7.
Starting from a DFT-relaxed cell (PBE, the Materials Project), the PXRD pattern of Tm2I2F was computed for CuKα.

Largest 10 diffraction maxima, by angle, 10 to 90 degrees two-theta:
index, two_theta, Rel. int.
1 0 0, 22.03, 100
0 0 4, 25.55, 29
1 1 0, 31.36, 41
1 0 4, 33.99, 40
1 1 4, 40.88, 21
2 0 0, 44.93, 15
1 0 6, 45.04, 22
2 1 0, 50.63, 37
2 1 4, 57.52, 15
2 2 0, 65.49, 19

Cell and atoms:
abc: 4.0346 4.0346 13.9360
angles: 90.00 90.00 90.00
Space group P4/mmm (No. 123)
Asymmetric unit:
Tm (0.0000, 0.0000, 0.1539) (multiplicity 2)
I (0.0000, 0.0000, 0.3506) (multiplicity 2)
F (0.0000, 0.0000, 0.0000) (multiplicity 1)

Please write out number 1 again, unchanged.
Starting from a DFT-relaxed cell (PBE, the Materials Project), the PXRD pattern of SbI2F6 was computed for CuKα.

Largest 10 diffraction maxima, by angle, 10 to 90 degrees two-theta:
index, two_theta, Rel. int.
1 -1 0, 19.13, 63
1 0 -1, 19.33, 81
-1 1 1, 21.97, 100
1 -1 1, 22.17, 61
1 1 -1, 22.62, 46
1 1 2, 24.72, 34
0 1 -2, 26.54, 74
1 2 2, 29.26, 31
2 1 1, 30.09, 36
2 1 -2, 41.27, 30

Cell and atoms:
abc: 6.2050 8.2640 8.3473
angles: 77.94 81.16 82.55
Space group P-1 (No. 2)
Asymmetric unit:
Sb (0.0628, 0.1994, 0.1860) (multiplicity 2)
I (0.3938, 0.5845, 0.2675) (multiplicity 2)
I (0.3994, 0.2590, 0.5688) (multiplicity 2)
F (0.0693, 0.7016, 0.0084) (multiplicity 2)
F (0.0885, 0.6332, 0.6969) (multiplicity 2)
F (0.1693, 0.9389, 0.7298) (multiplicity 2)
F (0.2087, 0.1091, 0.3816) (multiplicity 2)
F (0.2321, 0.0323, 0.0810) (multiplicity 2)
F (0.2982, 0.3428, 0.1124) (multiplicity 2)